# 1
Starting from the GGA+U geometry in the Materials Project, the powder XRD pattern of Ba2YCo2F11 was calculated for Cu Ka.
No peak broadening, texture or thermal motion is included.

Structural model:
abc: 7.9227 7.9227 13.6097
angles: 90.00 90.00 120.00
Space group P3_2 (No. 145)
Asymmetric unit:
Ba (0.0238, 0.1658, 0.0000)
Ba (0.2197, 0.5190, 0.5090)
Y (0.5432, 0.2028, 0.0728)
Co (0.0326, 0.7059, 0.0620)
Co (0.4487, 0.0706, 0.5670)
F (0.0003, 0.2510, 0.6688)
F (0.0103, 0.6406, 0.7049)
F (0.0970, 0.6661, 0.2039)
F (0.1377, 0.3195, 0.1873)
F (0.1697, 0.0533, 0.7763)
F (0.2355, 0.6368, 0.0231)
F (0.3349, 0.2464, 0.5910)
F (0.3729, 0.0237, 0.1900)
F (0.5033, 0.4555, 0.0440)
F (0.5188, 0.1350, 0.4141)
F (0.6074, 0.2729, 0.9031)

Peak list (8 most intense, 2θ = 15–90°, in order of rising 2θ)
d/Å  Rel. int.  (hkl)
3.784  81  1 0 3
3.424  66  1 1 2
3.327  100  0 2 1
3.063  69  2 0 2
3.048  47  0 1 4
2.423  41  2 1 2
2.154  36  0 1 6
2.063  45  3 -2 4

***

# 2
Starting from the GGA+U geometry in the Materials Project, the powder XRD pattern of Mg6CoSnO8 was calculated for Cu Ka.
No peak broadening, texture or thermal motion is included.

Structural model:
abc: 4.361 4.361 8.843
angles: 90.00 90.00 90.00
Space group P4/mmm (No. 123)
Asymmetric unit:
Mg (0.000, 0.000, 0.000)
Mg (0.000, 0.500, 0.240)
Mg (0.500, 0.500, 0.000)
Co (0.000, 0.000, 0.500)
Sn (0.500, 0.500, 0.500)
O (0.000, 0.000, 0.235)
O (0.000, 0.500, 0.000)
O (0.000, 0.500, 0.500)
O (0.500, 0.500, 0.237)

Peak list (8 most intense, 2θ = 15–90°, in order of rising 2θ)
d/Å  Rel. int.  (hkl)
4.422  26  0 0 2
2.912  37  1 1 1
2.529  60  1 1 2
2.211  51  0 0 4
2.181  100  2 0 0
1.553  60  2 0 4
1.542  30  2 2 0
1.265  30  2 2 4

***

# 3
Starting from the GGA+U geometry in the Materials Project, the powder XRD pattern of MgMn6Nb4O18 was calculated for Cu Ka.
No peak broadening, texture or thermal motion is included.

Structural model:
abc: 5.248 5.354 15.028
angles: 91.57 93.65 116.65
Space group P1 (No. 1)
Asymmetric unit:
Mg (0.000, 0.000, 0.000)
Mn (0.601, 0.274, 0.530)
Mn (0.660, 0.336, 0.011)
Mn (0.903, 0.949, 0.757)
Mn (0.912, 0.920, 0.365)
Mn (0.921, 0.962, 0.189)
Mn (0.937, 0.931, 0.554)
Nb (0.238, 0.577, 0.383)
Nb (0.274, 0.614, 0.173)
Nb (0.281, 0.593, 0.677)
Nb (0.293, 0.639, 0.886)
O (0.010, 0.693, 0.286)
O (0.060, 0.339, 0.773)
O (0.182, 0.312, 0.280)
O (0.208, 0.855, 0.780)
O (0.218, 0.910, 0.446)
O (0.219, 0.899, 0.116)
O (0.290, 0.289, 0.609)
O (0.294, 0.323, 0.945)
O (0.567, 0.843, 0.288)
O (0.577, 0.640, 0.785)
O (0.581, 0.615, 0.117)
O (0.587, 0.630, 0.450)
O (0.614, 0.949, 0.949)
O (0.627, 0.919, 0.639)
O (0.941, 0.259, 0.439)
O (0.962, 0.593, 0.606)
O (0.969, 0.288, 0.105)
O (0.986, 0.649, 0.945)

Peak list (8 most intense, 2θ = 15–90°, in order of rising 2θ)
d/Å  Rel. int.  (hkl)
4.776  85  0 1 0
4.673  64  1 0 0
4.509  84  1 -1 0
3.823  63  1 -1 2
3.050  59  1 0 -4
2.772  100  1 1 0
2.670  81  1 -2 0
2.616  81  2 -1 0

***

# 4
Starting from the GGA+U geometry in the Materials Project, the powder XRD pattern of NaLaMnWO6 was calculated for Cu Ka.
No peak broadening, texture or thermal motion is included.

Structural model:
abc: 5.639 5.711 8.107
angles: 90.00 90.17 90.00
Space group P2_1 (No. 4)
Asymmetric unit:
Na (0.246, 0.000, 0.000)
La (0.257, 0.939, 0.500)
Mn (0.250, 0.476, 0.762)
W (0.246, 0.482, 0.239)
O (0.034, 0.797, 0.777)
O (0.072, 0.771, 0.218)
O (0.164, 0.506, 0.490)
O (0.335, 0.455, 0.018)
O (0.451, 0.216, 0.308)
O (0.479, 0.186, 0.693)

Peak list (8 most intense, 2θ = 15–90°, in order of rising 2θ)
d/Å  Rel. int.  (hkl)
4.669  18  0 1 1
4.630  18  1 0 -1
3.596  19  1 1 1
2.852  100  0 2 0
2.820  19  2 0 0
2.027  11  0 0 4
2.006  22  2 2 0
1.648  20  2 0 -4

***

# 5
Starting from the GGA+U geometry in the Materials Project, the powder XRD pattern of Al2CrO5 was calculated for Cu Ka.
No peak broadening, texture or thermal motion is included.

Structural model:
abc: 3.608 9.452 9.594
angles: 90.00 90.00 90.00
Space group Cmcm (No. 63)
Asymmetric unit:
Al (0.000, 0.140, 0.059)
Cr (0.000, 0.185, 0.750)
O (0.000, 0.047, 0.615)
O (0.000, 0.237, 0.250)
O (0.000, 0.312, 0.572)

Peak list (8 most intense, 2θ = 15–90°, in order of rising 2θ)
d/Å  Rel. int.  (hkl)
4.726  60  0 2 0
3.370  100  1 1 0
3.180  34  1 1 1
2.649  60  0 2 3
1.900  35  0 4 3
1.804  35  2 0 0
1.687  22  1 3 4
1.491  23  2 2 3

***

# 6
Starting from the GGA+U geometry in the Materials Project, the powder XRD pattern of Li3VAs2O9 was calculated for Cu Ka.
No peak broadening, texture or thermal motion is included.

Structural model:
abc: 9.947 8.996 8.835
angles: 90.00 90.00 90.00
Space group Pna2_1 (No. 33)
Asymmetric unit:
Li (0.157, 0.165, 0.000)
Li (0.158, 0.632, 0.722)
Li (0.167, 0.351, 0.244)
V (0.068, 0.248, 0.626)
As (0.002, 0.936, 0.815)
As (0.007, 0.561, 0.442)
O (0.017, 0.081, 0.513)
O (0.021, 0.365, 0.447)
O (0.023, 0.424, 0.745)
O (0.030, 0.129, 0.806)
O (0.131, 0.377, 0.031)
O (0.141, 0.123, 0.230)
O (0.142, 0.846, 0.765)
O (0.155, 0.629, 0.498)
O (0.230, 0.251, 0.621)

Peak list (8 most intense, 2θ = 15–90°, in order of rising 2θ)
d/Å  Rel. int.  (hkl)
4.973  100  2 0 0
3.718  53  1 2 1
3.683  52  1 1 2
3.336  20  2 2 0
3.303  19  2 0 2
3.152  26  0 2 2
2.129  24  1 4 1
2.097  24  1 1 4

***

# 7
Starting from the GGA+U geometry in the Materials Project, the powder XRD pattern of BaMnFeF7 was calculated for Cu Ka.
No peak broadening, texture or thermal motion is included.

Structural model:
abc: 5.658 11.136 9.354
angles: 90.00 94.73 90.00
Space group P2_1/c (No. 14)
Asymmetric unit:
Ba (0.235, 0.169, 0.040)
Mn (0.184, 0.564, 0.119)
Fe (0.309, 0.620, 0.735)
F (0.023, 0.515, 0.718)
F (0.104, 0.738, 0.211)
F (0.138, 0.102, 0.510)
F (0.294, 0.595, 0.527)
F (0.345, 0.646, 0.941)
F (0.406, 0.213, 0.782)
F (0.496, 0.030, 0.254)

Peak list (8 most intense, 2θ = 15–90°, in order of rising 2θ)
d/Å  Rel. int.  (hkl)
3.748  57  1 0 -2
3.573  100  1 2 1
3.552  66  1 1 -2
3.450  67  0 3 1
3.300  44  1 1 2
2.819  36  2 0 0
2.329  45  2 0 2
1.981  39  1 4 -3

***

# 8
Starting from the GGA+U geometry in the Materials Project, the powder XRD pattern of KMg6FeO8 was calculated for Cu Ka.
No peak broadening, texture or thermal motion is included.

Structural model:
abc: 4.495 4.495 8.586
angles: 90.00 90.00 90.00
Space group P4/mmm (No. 123)
Asymmetric unit:
K (0.000, 0.000, 0.000)
Mg (0.000, 0.500, 0.243)
Mg (0.500, 0.500, 0.000)
Mg (0.500, 0.500, 0.500)
Fe (0.000, 0.000, 0.500)
O (0.000, 0.000, 0.281)
O (0.000, 0.500, 0.000)
O (0.000, 0.500, 0.500)
O (0.500, 0.500, 0.254)

Peak list (8 most intense, 2θ = 15–90°, in order of rising 2θ)
d/Å  Rel. int.  (hkl)
4.495  11  1 0 0
2.554  30  1 1 2
2.247  100  2 0 0
2.146  40  0 0 4
1.589  29  2 2 0
1.552  50  2 0 4
1.349  11  3 1 2
1.277  23  2 2 4